Starting from a PBE+U-relaxed structure, the X-ray diffraction stick pattern of Y2CrFeO6 was simulated for Cu Kα X-rays.
No peak broadening, texture or thermal motion is included.

Atomic structure:
a = 5.333 Å, b = 5.624 Å, c = 9.357 Å
α = 90.00°, β = 124.67°, γ = 90.00°
Space group P2_1/c (No. 14)
Symmetry-distinct sites (fractional):
Y  0.232  0.067  0.250 x4
Cr  0.000  0.000  0.500 x2
Fe  0.500  0.000  0.000 x2
O  0.134  0.198  0.942 x4
O  0.248  0.696  0.942 x4
O  0.361  0.040  0.749 x4

Most intense lines, 2θ = 15–90°, low angle first:
- 2θ = 25.77°, I = 16
- 2θ = 31.82°, I = 20
- 2θ = 32.82°, I = 100
- 2θ = 33.61°, I = 23
- 2θ = 46.96°, I = 21
- 2θ = 47.25°, I = 16
- 2θ = 48.52°, I = 10
- 2θ = 53.14°, I = 15
- 2θ = 59.23°, I = 12
- 2θ = 59.61°, I = 23